No. 1
Diffraction record for Ac4TlInN. The X-ray powder pattern is calculated, not measured: it uses a DFT-relaxed cell (GGA-PBE, Alexandria) and Cu Kα (weighted mean of Kα1 and Kα2).
No peak broadening, texture or thermal motion is included.

Crystal structure
Lattice parameters (Å, degrees): 9.6276 9.6276 7.3852 90.00 90.00 134.95
Positions (direct):
Ac (0.0000, 0.5000, 0.0000)
Ac (0.0000, 0.5000, 0.5000)
Ac (0.0715, 0.9285, 0.7500)
Ac (0.4157, 0.5843, 0.7500)
Ac (0.5000, 0.0000, 0.0000)
Ac (0.5000, 0.0000, 0.5000)
Ac (0.5843, 0.4157, 0.2500)
Ac (0.9285, 0.0715, 0.2500)
Tl (0.1139, 0.8861, 0.2500)
Tl (0.8861, 0.1139, 0.7500)
In (0.3860, 0.6140, 0.2500)
In (0.6140, 0.3860, 0.7500)
N (0.2733, 0.7267, 0.7500)
N (0.7267, 0.2733, 0.2500)

The 10 most intense peaks (5 to 70 degrees two-theta), in order of falling intensity:
2θ/deg	d_spacing	I (rel.)
26.14	3.409	1000
31.50	2.840	987
34.37	2.609	716
46.36	1.959	426
30.15	2.964	341
59.77	1.547	330
56.73	1.623	248
30.41	2.939	237
58.96	1.566	213
49.34	1.847	201

***

No. 2
Diffraction record for CsK4Au2. The X-ray powder pattern is calculated, not measured: it uses a DFT-relaxed cell (GGA-PBE, Alexandria) and Cu Kα (weighted mean of Kα1 and Kα2).
No peak broadening, texture or thermal motion is included.

Crystal structure
Lattice parameters (Å, degrees): 9.3122 7.5137 9.9912 90.00 111.52 90.00
Positions (direct):
Cs (0.0012, 0.2500, 0.3523)
Cs (0.9988, 0.7500, 0.6477)
K (0.2424, 0.0007, 0.0716)
K (0.2424, 0.4993, 0.0716)
K (0.3439, 0.2500, 0.7771)
K (0.3807, 0.7500, 0.5159)
K (0.6193, 0.2500, 0.4841)
K (0.6561, 0.7500, 0.2229)
K (0.7576, 0.5007, 0.9284)
K (0.7576, 0.9993, 0.9284)
Au (0.0241, 0.7500, 0.2241)
Au (0.4163, 0.7500, 0.8709)
Au (0.5837, 0.2500, 0.1291)
Au (0.9759, 0.2500, 0.7759)

The 10 most intense peaks (5 to 70 degrees two-theta), in order of falling intensity:
2θ/deg	d_spacing	I (rel.)
23.69	3.756	1000
29.90	2.989	938
21.61	4.113	812
31.52	2.838	764
31.02	2.883	721
27.57	3.235	628
30.62	2.919	619
11.12	7.959	545
31.23	2.864	523
20.20	4.397	492

***

No. 3
Diffraction record for PaH2Br5. The X-ray powder pattern is calculated, not measured: it uses a DFT-relaxed cell (GGA-PBE, Alexandria) and Cu Kα (weighted mean of Kα1 and Kα2).
No peak broadening, texture or thermal motion is included.

Crystal structure
Lattice parameters (Å, degrees): 5.7582 15.9020 8.4551 90.00 109.88 90.00
Positions (direct):
Pa (0.0000, 0.0000, 0.0000)
Pa (0.5000, 0.5000, 0.0000)
H (0.0054, 0.2509, 0.5000)
H (0.0054, 0.7491, 0.5000)
H (0.5054, 0.2491, 0.5000)
H (0.5054, 0.7509, 0.5000)
Br (0.0000, 0.5000, 0.0000)
Br (0.0005, 0.1674, 0.0004)
Br (0.0005, 0.8326, 0.0004)
Br (0.1674, 0.0000, 0.3347)
Br (0.3331, 0.5000, 0.6653)
Br (0.5000, 0.0000, 0.0000)
Br (0.5005, 0.3326, 0.0004)
Br (0.5005, 0.6674, 0.0004)
Br (0.6674, 0.5000, 0.3347)
Br (0.8331, 0.0000, 0.6653)

The 10 most intense peaks (5 to 70 degrees two-theta), in order of falling intensity:
2θ/deg	d_spacing	I (rel.)
11.13	7.951	1000
17.30	5.125	478
22.36	3.976	222
32.65	2.742	209
33.82	2.650	198
46.58	1.950	163
33.09	2.707	161
48.05	1.893	146
43.19	2.095	143
35.71	2.514	131

***

No. 4
Diffraction record for PmNdSb2. The X-ray powder pattern is calculated, not measured: it uses a DFT-relaxed cell (GGA-PBE, Alexandria) and Cu Kα (weighted mean of Kα1 and Kα2).
No peak broadening, texture or thermal motion is included.

Crystal structure
Lattice parameters (Å, degrees): 6.3719 6.3719 12.7604 90.00 90.00 90.00
Positions (direct):
Pm (0.0000, 0.2500, 0.3750)
Pm (0.0000, 0.7500, 0.6250)
Pm (0.5000, 0.2500, 0.1250)
Pm (0.5000, 0.7500, 0.8750)
Nd (0.0000, 0.2500, 0.8750)
Nd (0.0000, 0.7500, 0.1250)
Nd (0.5000, 0.2500, 0.6250)
Nd (0.5000, 0.7500, 0.3750)
Sb (0.0000, 0.2500, 0.1257)
Sb (0.0000, 0.2500, 0.6243)
Sb (0.0000, 0.7500, 0.3757)
Sb (0.0000, 0.7500, 0.8743)
Sb (0.5000, 0.2500, 0.3743)
Sb (0.5000, 0.2500, 0.8757)
Sb (0.5000, 0.7500, 0.1243)
Sb (0.5000, 0.7500, 0.6257)

The 7 most intense peaks (5 to 70 degrees two-theta), in order of falling intensity:
2θ/deg	d_spacing	I (rel.)
27.99	3.187	1000
40.00	2.254	766
65.48	1.425	353
49.53	1.840	275
57.86	1.594	129
24.18	3.680	16
47.29	1.922	9

***

No. 5
Diffraction record for SrPaAs2O8. The X-ray powder pattern is calculated, not measured: it uses a DFT-relaxed cell (GGA-PBE, Alexandria) and Cu Kα (weighted mean of Kα1 and Kα2).
No peak broadening, texture or thermal motion is included.

Crystal structure
Lattice parameters (Å, degrees): 6.1359 6.1359 6.1359 106.63 106.63 115.33
Positions (direct):
Sr (0.0000, 0.0000, 0.0000)
Pa (0.7500, 0.2500, 0.5000)
As (0.2500, 0.7500, 0.5000)
As (0.5000, 0.5000, 0.0000)
O (0.0728, 0.4002, 0.3274)
O (0.0728, 0.7454, 0.6726)
O (0.1316, 0.3299, 0.8017)
O (0.2546, 0.9272, 0.3274)
O (0.5282, 0.3299, 0.1983)
O (0.5998, 0.9272, 0.6726)
O (0.6701, 0.4718, 0.8017)
O (0.6701, 0.8684, 0.1983)

The 10 most intense peaks (5 to 70 degrees two-theta), in order of falling intensity:
2θ/deg	d_spacing	I (rel.)
24.28	3.666	1000
32.28	2.773	767
48.05	1.894	627
18.14	4.890	331
34.60	2.592	237
17.10	5.184	196
56.09	1.640	193
60.55	1.529	183
49.74	1.833	164
61.95	1.498	134

***

No. 6
Diffraction record for K6Tl2O. The X-ray powder pattern is calculated, not measured: it uses a DFT-relaxed cell (GGA-PBE, Alexandria) and Cu Kα (weighted mean of Kα1 and Kα2).
No peak broadening, texture or thermal motion is included.

Crystal structure
Lattice parameters (Å, degrees): 9.3703 4.0592 9.9966 90.00 91.10 90.00
Positions (direct):
K (0.0235, 0.0000, 0.1716)
K (0.2759, 0.5000, 0.5132)
K (0.2797, 0.5000, 0.9804)
K (0.7203, 0.5000, 0.0196)
K (0.7241, 0.5000, 0.4868)
K (0.9765, 0.0000, 0.8284)
Tl (0.4784, 0.0000, 0.2604)
Tl (0.5216, 0.0000, 0.7396)
O (0.0000, 0.5000, 0.0000)

The 10 most intense peaks (5 to 70 degrees two-theta), in order of falling intensity:
2θ/deg	d_spacing	I (rel.)
9.44	9.369	1000
28.32	3.151	698
29.11	3.068	566
26.33	3.385	360
25.82	3.451	290
29.81	2.997	256
18.95	4.684	227
23.89	3.725	226
20.30	4.375	211
19.98	4.445	211

***

No. 7
Diffraction record for Rb3F2. The X-ray powder pattern is calculated, not measured: it uses a DFT-relaxed cell (GGA-PBE, Alexandria) and Cu Kα (weighted mean of Kα1 and Kα2).
No peak broadening, texture or thermal motion is included.

Crystal structure
Lattice parameters (Å, degrees): 8.1704 8.1704 8.1704 52.52 52.52 52.52
Positions (direct):
Rb (0.0637, 0.7500, 0.4363)
Rb (0.2500, 0.5637, 0.9363)
Rb (0.4363, 0.0637, 0.7500)
Rb (0.5637, 0.9363, 0.2500)
Rb (0.7500, 0.4363, 0.0637)
Rb (0.9363, 0.2500, 0.5637)
F (0.1638, 0.1638, 0.1638)
F (0.3362, 0.3362, 0.3362)
F (0.6638, 0.6638, 0.6638)
F (0.8362, 0.8362, 0.8362)

The 10 most intense peaks (5 to 70 degrees two-theta), in order of falling intensity:
2θ/deg	d_spacing	I (rel.)
27.76	3.214	1000
35.64	2.519	290
43.36	2.087	241
46.20	1.965	240
25.36	3.512	204
50.90	1.794	165
52.26	1.750	150
24.63	3.615	102
65.21	1.431	77
57.34	1.607	66

***

No. 8
Diffraction record for Zr2CoH5. The X-ray powder pattern is calculated, not measured: it uses a DFT-relaxed cell (GGA-PBE, Alexandria) and Cu Kα (weighted mean of Kα1 and Kα2).
No peak broadening, texture or thermal motion is included.

Crystal structure
Lattice parameters (Å, degrees): 6.8808 6.8808 5.6738 90.00 90.00 90.00
Positions (direct):
Zr (0.0886, 0.5886, 0.2500)
Zr (0.0886, 0.9114, 0.7500)
Zr (0.4114, 0.5886, 0.7500)
Zr (0.4114, 0.9114, 0.2500)
Zr (0.5886, 0.0886, 0.7500)
Zr (0.5886, 0.4114, 0.2500)
Zr (0.9114, 0.0886, 0.2500)
Zr (0.9114, 0.4114, 0.7500)
Co (0.2500, 0.2500, 0.0080)
Co (0.2500, 0.2500, 0.5080)
Co (0.7500, 0.7500, 0.4920)
Co (0.7500, 0.7500, 0.9920)
H (0.0356, 0.1662, 0.5721)
H (0.0356, 0.3338, 0.0721)
H (0.1662, 0.0356, 0.0721)
H (0.1662, 0.4644, 0.5721)
H (0.2500, 0.7500, 0.0000)
H (0.2500, 0.7500, 0.5000)
H (0.3338, 0.0356, 0.5721)
H (0.3338, 0.4644, 0.0721)
H (0.4644, 0.1662, 0.0721)
H (0.4644, 0.3338, 0.5721)
H (0.5356, 0.6662, 0.4279)
H (0.5356, 0.8338, 0.9279)
H (0.6662, 0.5356, 0.9279)
H (0.6662, 0.9644, 0.4279)
H (0.7500, 0.2500, 0.0000)
H (0.7500, 0.2500, 0.5000)
H (0.8338, 0.5356, 0.4279)
H (0.8338, 0.9644, 0.9279)
H (0.9644, 0.6662, 0.9279)
H (0.9644, 0.8338, 0.4279)

The 10 most intense peaks (5 to 70 degrees two-theta), in order of falling intensity:
2θ/deg	d_spacing	I (rel.)
33.12	2.705	1000
41.50	2.176	329
41.25	2.189	283
36.67	2.451	243
57.17	1.611	206
66.40	1.408	187
57.57	1.601	157
63.22	1.471	112
31.54	2.837	101
36.95	2.433	88

***

No. 9
Diffraction record for CeDyMg2Au4. The X-ray powder pattern is calculated, not measured: it uses a DFT-relaxed cell (GGA-PBE, Alexandria) and Cu Kα (weighted mean of Kα1 and Kα2).
No peak broadening, texture or thermal motion is included.

Crystal structure
Lattice parameters (Å, degrees): 8.5736 8.5736 8.5736 33.67 33.67 33.67
Positions (direct):
Ce (0.0000, 0.0000, 0.0000)
Dy (0.5000, 0.5000, 0.5000)
Mg (0.2490, 0.2490, 0.2490)
Mg (0.7510, 0.7510, 0.7510)
Au (0.1276, 0.1276, 0.1276)
Au (0.3773, 0.3773, 0.3773)
Au (0.6227, 0.6227, 0.6227)
Au (0.8724, 0.8724, 0.8724)

The 10 most intense peaks (5 to 70 degrees two-theta), in order of falling intensity:
2θ/deg	d_spacing	I (rel.)
36.22	2.480	1000
65.10	1.433	274
25.40	3.507	180
52.16	1.754	177
21.95	4.050	111
65.30	1.429	87
42.73	2.116	45
44.72	2.026	42
58.82	1.570	38
58.94	1.567	36

***

No. 10
Diffraction record for Sm4GaRu3. The X-ray powder pattern is calculated, not measured: it uses a DFT-relaxed cell (GGA-PBE, Alexandria) and Cu Kα (weighted mean of Kα1 and Kα2).
No peak broadening, texture or thermal motion is included.

Crystal structure
Lattice parameters (Å, degrees): 4.2667 4.3564 10.4368 90.00 90.00 90.00
Positions (direct):
Sm (0.0000, 0.0000, 0.0000)
Sm (0.0000, 0.5000, 0.2828)
Sm (0.5000, 0.0000, 0.5128)
Sm (0.5000, 0.5000, 0.8002)
Ga (0.5000, 0.0000, 0.2120)
Ru (0.0000, 0.0000, 0.7034)
Ru (0.0000, 0.5000, 0.6030)
Ru (0.5000, 0.5000, 0.0830)

The 10 most intense peaks (5 to 70 degrees two-theta), in order of falling intensity:
2θ/deg	d_spacing	I (rel.)
30.55	2.926	1000
33.23	2.696	563
39.30	2.293	491
41.46	2.178	289
54.13	1.694	280
42.37	2.133	273
40.29	2.238	253
26.66	3.344	213
60.77	1.524	185
59.89	1.544	155

***

No. 11
Diffraction record for NpCl2F4. The X-ray powder pattern is calculated, not measured: it uses a DFT-relaxed cell (GGA-PBE, Alexandria) and Cu Kα (weighted mean of Kα1 and Kα2).
No peak broadening, texture or thermal motion is included.

Crystal structure
Lattice parameters (Å, degrees): 3.8634 3.8654 10.6445 97.48 97.37 90.08
Positions (direct):
Np (0.0000, 0.0000, 0.0000)
Cl (0.4638, 0.4563, 0.5875)
Cl (0.5362, 0.5437, 0.4125)
F (0.0382, 0.5395, 0.1164)
F (0.4601, 0.9632, 0.8836)
F (0.5399, 0.0368, 0.1164)
F (0.9618, 0.4605, 0.8836)

The 10 most intense peaks (5 to 70 degrees two-theta), in order of falling intensity:
2θ/deg	d_spacing	I (rel.)
8.45	10.465	1000
16.94	5.233	339
23.66	3.760	331
25.78	3.455	307
37.07	2.425	163
26.99	3.304	136
23.22	3.831	104
39.08	2.305	92
47.46	1.916	82
32.38	2.765	80

***

No. 12
Diffraction record for Na2Ge5Pd3. The X-ray powder pattern is calculated, not measured: it uses a DFT-relaxed cell (GGA-PBE, Alexandria) and Cu Kα (weighted mean of Kα1 and Kα2).
No peak broadening, texture or thermal motion is included.

Crystal structure
Lattice parameters (Å, degrees): 8.7182 8.7182 8.7182 109.87 83.56 140.57
Positions (direct):
Na (0.1452, 0.2310, 0.3762)
Na (0.3548, 0.7310, 0.0858)
Na (0.6452, 0.2690, 0.9142)
Na (0.8548, 0.7690, 0.6238)
Ge (0.0401, 0.7500, 0.2901)
Ge (0.0976, 0.6679, 0.7655)
Ge (0.2500, 0.2500, 0.0000)
Ge (0.4024, 0.1679, 0.5703)
Ge (0.4599, 0.7500, 0.7099)
Ge (0.5401, 0.2500, 0.2901)
Ge (0.5976, 0.8321, 0.4297)
Ge (0.7500, 0.7500, 0.0000)
Ge (0.9024, 0.3321, 0.2345)
Ge (0.9599, 0.2500, 0.7099)
Pd (0.1437, 0.9095, 0.0532)
Pd (0.2500, 0.7500, 0.5000)
Pd (0.3563, 0.4095, 0.7658)
Pd (0.6437, 0.5905, 0.2342)
Pd (0.7500, 0.2500, 0.5000)
Pd (0.8563, 0.0905, 0.9468)

The 10 most intense peaks (5 to 70 degrees two-theta), in order of falling intensity:
2θ/deg	d_spacing	I (rel.)
17.71	5.009	1000
41.40	2.181	947
22.23	3.999	928
33.81	2.651	573
35.39	2.536	528
45.76	1.983	422
47.69	1.907	417
32.85	2.727	385
38.05	2.365	360
39.73	2.269	281

***

> Number 2 is which compound?

CsK4Au2